# 1
Tl2AgPbF6: computed X-ray powder pattern (Cu Kα X-rays), based on a DFT-relaxed cell (GGA-PBE, Alexandria).
No peak broadening, texture or thermal motion is included.

Atomic structure:
Lattice parameters (Å, degrees): 6.453 6.469 6.486 119.07 90.70 119.70
Element x y z (fractional)
Tl 0.000 0.000 0.000
Tl 0.499 0.969 0.467
Ag 0.751 0.486 0.233
Pb 0.251 0.486 0.733
F 0.002 0.567 0.560
F 0.045 0.484 0.030
F 0.456 0.488 0.437
F 0.502 0.407 0.907
F 0.551 0.983 0.029
F 0.951 0.988 0.438

The 10 most intense peaks (2θ = 10–80°), low angle first:
2theta  d [Å]  intensity
27.16  3.284  47
27.44  3.250  100
27.55  3.238  100
27.65  3.226  49
38.90  2.315  29
39.15  2.301  28
39.65  2.273  26
48.48  1.878  34
48.65  1.872  22
48.92  1.862  35

=====

# 2
La2Zn6Au3: computed X-ray powder pattern (Cu Kα X-rays), based on a DFT-relaxed cell (GGA-PBE, Alexandria).
No peak broadening, texture or thermal motion is included.

Atomic structure:
Lattice parameters (Å, degrees): 7.960 7.960 4.149 90.00 90.00 120.00
Element x y z (fractional)
La 0.333 0.667 0.000
La 0.667 0.333 0.000
Zn 0.000 0.185 0.000
Zn 0.000 0.726 0.500
Zn 0.185 0.000 0.000
Zn 0.274 0.274 0.500
Zn 0.726 0.000 0.500
Zn 0.815 0.815 0.000
Au 0.000 0.392 0.500
Au 0.392 0.000 0.500
Au 0.608 0.608 0.500

The 10 most intense peaks (2θ = 10–80°), low angle first:
2theta  d [Å]  intensity
22.34  3.980  33
31.14  2.872  100
33.81  2.651  26
34.42  2.605  23
39.21  2.298  31
40.90  2.206  59
43.63  2.074  25
47.56  1.912  28
60.09  1.540  18
66.51  1.406  21

=====

# 3
Zr2V6Sb9: computed X-ray powder pattern (Cu Kα X-rays), based on a DFT-relaxed cell (GGA-PBE, Alexandria).
No peak broadening, texture or thermal motion is included.

Atomic structure:
Lattice parameters (Å, degrees): 9.761 9.761 7.243 90.00 90.00 90.00
Element x y z (fractional)
Zr 0.250 0.250 0.084
Zr 0.250 0.250 0.584
Zr 0.750 0.750 0.416
Zr 0.750 0.750 0.916
V 0.000 0.000 0.000
V 0.000 0.500 0.000
V 0.113 0.750 0.843
V 0.250 0.613 0.157
V 0.250 0.887 0.157
V 0.387 0.750 0.843
V 0.500 0.000 0.000
V 0.500 0.500 0.000
V 0.613 0.250 0.157
V 0.750 0.113 0.843
V 0.750 0.387 0.843
V 0.887 0.250 0.157
Sb 0.003 0.250 0.816
Sb 0.077 0.077 0.345
Sb 0.077 0.423 0.345
Sb 0.250 0.003 0.816
Sb 0.250 0.497 0.816
Sb 0.250 0.750 0.500
Sb 0.423 0.077 0.345
Sb 0.423 0.423 0.345
Sb 0.497 0.250 0.816
Sb 0.503 0.750 0.184
Sb 0.577 0.577 0.655
Sb 0.577 0.923 0.655
Sb 0.750 0.250 0.500
Sb 0.750 0.503 0.184
Sb 0.750 0.997 0.184
Sb 0.923 0.577 0.655
Sb 0.923 0.923 0.655
Sb 0.997 0.750 0.184

The 10 most intense peaks (2θ = 10–80°), low angle first:
2theta  d [Å]  intensity
30.11  2.968  59
32.11  2.787  71
35.40  2.536  100
35.95  2.498  63
36.83  2.440  44
37.15  2.420  63
40.07  2.250  48
41.73  2.165  44
45.87  1.978  35
69.64  1.350  41

=====

# 4
Ba2Hg2PtO6: computed X-ray powder pattern (Cu Kα X-rays), based on a DFT-relaxed cell (GGA-PBE, Alexandria).
No peak broadening, texture or thermal motion is included.

Atomic structure:
Lattice parameters (Å, degrees): 6.635 6.635 5.990 93.22 93.22 123.21
Element x y z (fractional)
Ba 0.157 0.843 0.000
Ba 0.843 0.157 0.000
Hg 0.371 0.629 0.500
Hg 0.629 0.371 0.500
Pt 0.500 0.500 0.000
O 0.231 0.495 0.803
O 0.258 0.258 0.200
O 0.495 0.231 0.803
O 0.505 0.769 0.197
O 0.742 0.742 0.800
O 0.769 0.505 0.197

The 10 most intense peaks (2θ = 10–80°), low angle first:
2theta  d [Å]  intensity
16.05  5.521  74
20.78  4.275  16
28.49  3.133  50
30.08  2.971  100
31.78  2.816  77
39.22  2.297  28
44.41  2.040  17
50.35  1.812  19
52.30  1.749  19
55.54  1.655  19

=====

# 5
Pa2SeI7: computed X-ray powder pattern (Cu Kα X-rays), based on a DFT-relaxed cell (GGA-PBE, Alexandria).
No peak broadening, texture or thermal motion is included.

Atomic structure:
Lattice parameters (Å, degrees): 10.565 4.132 10.599 90.00 99.45 90.00
Element x y z (fractional)
Pa 0.124 0.000 0.376
Pa 0.876 0.000 0.624
Se 0.000 0.500 0.500
I 0.085 0.000 0.837
I 0.264 0.500 0.236
I 0.337 0.000 0.584
I 0.500 0.000 0.000
I 0.663 0.000 0.416
I 0.736 0.500 0.764
I 0.915 0.000 0.163

The 10 most intense peaks (2θ = 10–80°), low angle first:
2theta  d [Å]  intensity
12.94  6.841  63
17.71  5.009  42
21.51  4.132  53
26.05  3.420  84
27.99  3.187  89
30.97  2.887  100
35.89  2.502  37
40.90  2.206  61
43.06  2.100  53
51.70  1.768  31

=====

# 6
Na4In5Hg6: computed X-ray powder pattern (Cu Kα X-rays), based on a DFT-relaxed cell (GGA-PBE, Alexandria).
No peak broadening, texture or thermal motion is included.

Atomic structure:
Lattice parameters (Å, degrees): 11.839 11.839 14.990 90.00 90.00 157.17
Element x y z (fractional)
Na 0.036 0.964 0.500
Na 0.054 0.946 0.771
Na 0.131 0.869 0.276
Na 0.182 0.818 0.934
Na 0.818 0.182 0.434
Na 0.869 0.131 0.776
Na 0.946 0.054 0.271
Na 0.964 0.036 0.000
In 0.179 0.821 0.625
In 0.318 0.682 0.279
In 0.322 0.678 0.593
In 0.349 0.651 0.947
In 0.470 0.530 0.649
In 0.530 0.470 0.149
In 0.651 0.349 0.447
In 0.678 0.322 0.093
In 0.682 0.318 0.779
In 0.821 0.179 0.125
Hg 0.092 0.908 0.079
Hg 0.231 0.769 0.438
Hg 0.274 0.726 0.776
Hg 0.406 0.594 0.126
Hg 0.419 0.581 0.422
Hg 0.461 0.539 0.848
Hg 0.539 0.461 0.348
Hg 0.581 0.419 0.922
Hg 0.594 0.406 0.626
Hg 0.726 0.274 0.276
Hg 0.769 0.231 0.938
Hg 0.908 0.092 0.579

The 10 most intense peaks (2θ = 10–80°), low angle first:
2theta  d [Å]  intensity
19.33  4.591  100
22.97  3.872  62
23.75  3.747  27
30.80  2.903  33
32.53  2.753  80
33.65  2.664  43
36.29  2.476  47
37.80  2.380  78
38.42  2.343  63
39.28  2.294  31

=====

# 7
Li2InHgF8: computed X-ray powder pattern (Cu Kα X-rays), based on a DFT-relaxed cell (GGA-PBE, Alexandria).
No peak broadening, texture or thermal motion is included.

Atomic structure:
Lattice parameters (Å, degrees): 5.938 5.938 5.938 110.83 110.83 106.78
Element x y z (fractional)
Li 0.000 0.000 0.000
Li 0.750 0.250 0.500
In 0.250 0.750 0.500
Hg 0.500 0.500 0.000
F 0.009 0.812 0.198
F 0.139 0.457 0.682
F 0.188 0.386 0.198
F 0.188 0.991 0.802
F 0.543 0.225 0.682
F 0.543 0.861 0.318
F 0.614 0.812 0.802
F 0.775 0.457 0.318

The 10 most intense peaks (2θ = 10–80°), low angle first:
2theta  d [Å]  intensity
18.17  4.883  100
26.44  3.371  47
31.47  2.843  39
32.27  2.774  29
40.49  2.228  23
42.19  2.142  23
49.94  1.826  35
50.49  1.808  18
58.92  1.567  9
64.25  1.450  11

=====

# 8
Tb3Cd7Ag2: computed X-ray powder pattern (Cu Kα X-rays), based on a DFT-relaxed cell (GGA-PBE, Alexandria).
No peak broadening, texture or thermal motion is included.

Atomic structure:
Lattice parameters (Å, degrees): 10.023 10.023 10.023 34.05 34.05 34.05
Element x y z (fractional)
Tb 0.000 0.000 0.000
Tb 0.142 0.142 0.142
Tb 0.858 0.858 0.858
Cd 0.077 0.586 0.586
Cd 0.414 0.414 0.923
Cd 0.414 0.923 0.414
Cd 0.500 0.500 0.500
Cd 0.586 0.077 0.586
Cd 0.586 0.586 0.077
Cd 0.923 0.414 0.414
Ag 0.335 0.335 0.335
Ag 0.665 0.665 0.665

The 10 most intense peaks (2θ = 10–80°), low angle first:
2theta  d [Å]  intensity
28.21  3.164  21
30.46  2.934  32
30.80  2.903  24
35.47  2.531  33
36.05  2.492  100
38.16  2.358  20
38.85  2.318  26
57.83  1.594  25
63.40  1.467  25
76.46  1.246  15